(1)
For Dy6MnSi2S14, a crystal structure in the Materials Project, relaxed with GGA-PBE gives the computed powder diffraction line list in this record (copper Kα).

```
data_Dy6MnSi2S14
_chemical_formula_sum 'Dy6 Mn1 Si2 S14'
_space_group_name_H-M_alt 'P 3'
_space_group_IT_number 143
_cell_length_a 9.9225
_cell_length_b 9.9225
_cell_length_c 5.6152
_cell_angle_alpha 90.00
_cell_angle_beta 90.00
_cell_angle_gamma 120.00
loop_
_space_group_symop_operation_xyz
'x,y,z'
'-y,x-y,z'
'-x+y,-x,z'
loop_
_atom_site_label
_atom_site_type_symbol
_atom_site_fract_x
_atom_site_fract_y
_atom_site_fract_z
_atom_site_occupancy
Dy1 Dy 0.0224 0.5666 0.0000 1
Dy2 Dy 0.3106 0.0999 0.5005 1
Mn1 Mn 0.6667 0.3333 0.2619 1
Si1 Si 0.0000 0.0000 0.9151 1
Si2 Si 0.3333 0.6667 0.4129 1
S1 S 0.0000 0.0000 0.2906 1
S2 S 0.0781 0.8524 0.7639 1
S3 S 0.1862 0.4410 0.2619 1
S4 S 0.3333 0.6667 0.7886 1
S5 S 0.4179 0.1712 0.0224 1
S6 S 0.5026 0.4179 0.5061 1
```

Main lines, by intensity (2θ from 10° to 80°):
- 2θ = 26.11°, intensity 100, (0 2 1)
- 2θ = 41.15°, intensity 53, (3 1 1)
- 2θ = 37.75°, intensity 49, (1 3 0)
- 2θ = 23.93°, intensity 47, (2 -1 1)
- 2θ = 38.30°, intensity 34, (2 0 2)
- 2θ = 18.88°, intensity 34, (0 1 1)
- 2θ = 42.56°, intensity 34, (1 2 2)
- 2θ = 27.46°, intensity 32, (1 2 0)
- 2θ = 31.86°, intensity 29, (0 0 2)
- 2θ = 36.21°, intensity 29, (2 2 0)


(2)
For Dy4MnSe7, a crystal structure in the Materials Project, relaxed with GGA-PBE gives the computed powder diffraction line list in this record (copper Kα).

```
data_Dy4MnSe7
_chemical_formula_sum 'Dy8 Mn2 Se14'
_space_group_name_H-M_alt 'C 1 m 1'
_space_group_IT_number 8
_cell_length_a 13.1068
_cell_length_b 3.9630
_cell_length_c 12.0401
_cell_angle_alpha 90.00
_cell_angle_beta 104.91
_cell_angle_gamma 90.00
loop_
_space_group_symop_operation_xyz
'x,y,z'
'x,-y,z'
'x+1/2,y+1/2,z'
'x+1/2,-y+1/2,z'
loop_
_atom_site_label
_atom_site_type_symbol
_atom_site_fract_x
_atom_site_fract_y
_atom_site_fract_z
_atom_site_occupancy
Dy1 Dy 0.0000 0.0000 0.0000 1
Dy2 Dy 0.0793 0.5000 0.3628 1
Dy3 Dy 0.1939 0.5000 0.8023 1
Dy4 Dy 0.3871 0.0000 0.5981 1
Mn1 Mn 0.3092 0.5000 0.2189 1
Se1 Se 0.0328 0.0000 0.7458 1
Se2 Se 0.1598 0.5000 0.0223 1
Se3 Se 0.1998 0.0000 0.2928 1
Se4 Se 0.2295 0.5000 0.5808 1
Se5 Se 0.3557 0.0000 0.8467 1
Se6 Se 0.4244 0.0000 0.1487 1
Se7 Se 0.4486 0.5000 0.4360 1
```

Main lines, by intensity (2θ from 10° to 80°):
- 2θ = 32.07°, intensity 100, (3 1 -2)
- 2θ = 33.24°, intensity 94, (3 1 1)
- 2θ = 23.60°, intensity 93, (2 0 -3)
- 2θ = 30.95°, intensity 85, (3 1 0)
- 2θ = 23.27°, intensity 82, (2 0 2)
- 2θ = 30.54°, intensity 79, (3 1 -1)
- 2θ = 45.79°, intensity 70, (0 2 0)
- 2θ = 40.55°, intensity 66, (1 1 4)
- 2θ = 45.58°, intensity 58, (6 0 1)
- 2θ = 46.18°, intensity 49, (6 0 -4)